Simulated X-ray diffraction stick pattern
Compound: BaH2O2
Radiation: Cu Kα, 1.54184 Å
Structure: a crystal structure in the Materials Project, relaxed with PBE
Neutral-atom scattering factors, no anomalous dispersion.

The 10 most intense peaks (5 to 70 degrees two-theta), in order of rising 2θ:
2θ/deg, d (Å), Rel. int., index
21.8, 4.080, 41.8, 0 1 -2
21.9, 4.057, 40.8, 0 1 2
24.0, 3.704, 43.0, -1 1 2
24.1, 3.688, 43.5, 1 1 -2
25.3, 3.522, 71.0, 1 -2 0
25.7, 3.463, 67.0, 1 2 0
26.2, 3.400, 100.0, 2 0 0
26.7, 3.337, 66.0, 1 -1 2
27.0, 3.299, 41.1, 1 1 2
29.7, 3.010, 34.8, 1 0 -3

```
BaH2O2
1.0
6.8694 0.0000 0.0000
-0.1507 8.1398 0.0000
-1.3319 -0.0690 9.3981
Ba H O
8 16 16
Direct
0.0000 0.0000 0.0000
0.0018 0.5029 0.3028
0.0378 0.3942 0.7217
0.4682 0.2805 0.0535
0.4948 0.2177 0.4976
0.5013 0.7070 0.8056
0.5476 0.8017 0.2154
0.9751 0.9094 0.5707
0.1249 0.4619 0.0214
0.1352 0.6819 0.9461
0.2201 0.0071 0.2749
0.3014 0.1171 0.7568
0.3084 0.5754 0.5286
0.4149 0.5112 0.2243
0.4517 0.8102 0.5145
0.4805 0.0014 0.9101
0.5720 0.3086 0.7739
0.6382 0.1218 0.2744
0.6460 0.5379 0.4644
0.7105 0.0685 0.7761
0.8067 0.5031 0.0263
0.8506 0.6710 0.7139
0.8995 0.9710 0.2796
0.9863 0.2006 0.4228
0.0694 0.3483 0.0163
0.1050 0.2249 0.4917
0.2198 0.6451 0.5731
0.2567 0.6709 0.0141
0.2577 0.0165 0.8000
0.3202 0.0599 0.2245
0.4051 0.4851 0.3228
0.4429 0.3608 0.7694
0.5637 0.8870 0.5147
0.6081 0.9858 0.9750
0.7012 0.5485 0.0740
0.7714 0.1676 0.2831
0.7718 0.5170 0.5244
0.7885 0.1472 0.7287
0.9011 0.7273 0.8038
0.9498 0.8570 0.2757
```